Computed powder X-ray diffraction pattern
Compound: Dy4Co6O19
Radiation: CuKα
Structure: a PBE+U-relaxed structure
Peak positions follow from Bragg's law for the DFT cell and can differ from measured ones.

The 10 most intense peaks (10 to 90 degrees two-theta), low angle first:
2θ = 25.81°, I 100, (2 1 1)
2θ = 33.51°, I 57, (3 0 1)
2θ = 36.82°, I 15, (2 2 2)
2θ = 39.89°, I 25, (3 1 2)
2θ = 45.51°, I 63, (3 3 0)
2θ = 53.06°, I 20, (4 2 2)
2θ = 55.41°, I 18, (4 3 1)
2θ = 59.92°, I 20, (5 1 2)
2θ = 66.33°, I 25, (6 0 0)
2θ = 84.13°, I 22, (6 3 3)

Structural model:
```
data_Dy4Co6O19
_symmetry_space_group_name_H-M 'I 2 3'
_symmetry_Int_Tables_number 197
_symmetry_space_group_name_Hall 'I 2 2 3'
_cell_length_a 8.4557
_cell_length_b 8.4557
_cell_length_c 8.4557
_cell_angle_alpha 90.00
_cell_angle_beta 90.00
_cell_angle_gamma 90.00
loop_
_atom_site_label
_atom_site_type_symbol
_atom_site_fract_x
_atom_site_fract_y
_atom_site_fract_z
_atom_site_occupancy
Dy1 Dy 0.1631 0.1631 0.1631 1
Co1 Co 0.0000 0.1597 0.5000 1
O1 O 0.0000 0.0000 0.0000 1
O2 O 0.0000 0.0000 0.3495 1
O3 O 0.0395 0.2854 0.6781 1
```